Tm2CuGe2Au: computed X-ray powder pattern (copper Kα), based on DFT lattice parameters and positions (GGA-PBE).
Intensities are scaled so that the largest is 100.

Largest 12 diffraction maxima, in order of falling intensity, 5 to 70 degrees two-theta:
2θ/deg, I/Imax, hkl
34.65, 100, 0 1 2
41.37, 62, 1 1 0
55.04, 27, 2 0 2
26.71, 16, 0 1 1
68.06, 15, 1 1 4
23.53, 13, 1 0 0
45.18, 12, 1 0 3
12.46, 8, 0 0 1
57.32, 7, 1 0 4
51.45, 6, 0 0 4
62.92, 4, 0 2 3
49.93, 3, 2 0 1

Crystal structure
```
Tm2CuGe2Au
1.0
4.365 0.000 0.000
-2.182 3.780 0.000
0.000 0.000 7.104
Tm Cu Ge Au
2 1 2 1
Direct
0.000 0.000 0.000
0.000 0.000 0.491
0.667 0.333 0.202
0.333 0.667 0.272
0.667 0.333 0.796
0.333 0.667 0.700
```